# 1
Theoretical powder diffractogram of LaTcI for Cu Kα (weighted mean of Kα1 and Kα2), from a DFT-relaxed cell (PBE, Alexandria).

Crystal structure
```
data_LaTcI
_symmetry_space_group_name_H-M 'R -3 m'
_symmetry_Int_Tables_number 166
_symmetry_space_group_name_Hall '-R 3 2"'
_cell_length_a 4.2082
_cell_length_b 4.2082
_cell_length_c 38.7479
_cell_angle_alpha 90.00
_cell_angle_beta 90.00
_cell_angle_gamma 120.00
loop_
_atom_site_label
_atom_site_type_symbol
_atom_site_fract_x
_atom_site_fract_y
_atom_site_fract_z
La1 La 0.0000 0.0000 0.0578
Tc1 Tc 0.0000 0.0000 0.3390
I1 I 0.0000 0.0000 0.2177
```

Largest 6 diffraction maxima, sorted by position, 5 to 70 degrees two-theta:
h k l	2θ (°)	d (Å)	intensity
0 0 3	6.84	12.916	80.3
1 0 7	29.34	3.044	100.0
0 1 8	30.70	2.912	25.1
0 1 11	35.44	2.533	26.0
1 1 0	42.99	2.104	48.7
1 1 18	61.64	1.505	26.1

# 2
Theoretical powder diffractogram of LiPr4Ir2 for Cu Kα (weighted mean of Kα1 and Kα2), from a DFT-relaxed cell (PBE, Alexandria).

Crystal structure
```
data_LiPr4Ir2
_symmetry_space_group_name_H-M 'C 1 2/m 1'
_symmetry_Int_Tables_number 12
_cell_length_a 13.906
_cell_length_b 9.556
_cell_length_c 8.399
_cell_angle_alpha 90.00
_cell_angle_beta 127.14
_cell_angle_gamma 90.00
loop_
_symmetry_equiv_pos_as_xyz
'x,y,z'
'-x,-y,-z'
'-x,y,-z'
'x,-y,z'
'x+1/2,y+1/2,z'
'-x+1/2,-y+1/2,-z'
'-x+1/2,y+1/2,-z'
'x+1/2,-y+1/2,z'
loop_
_atom_site_label
_atom_site_type_symbol
_atom_site_fract_x
_atom_site_fract_y
_atom_site_fract_z
Li1 Li 0.018 0.000 0.269
Pr1 Pr 0.004 0.303 0.754
Pr2 Pr 0.244 0.000 0.276
Pr3 Pr 0.244 0.000 0.712
Ir1 Ir 0.000 0.500 0.000
Ir2 Ir 0.000 0.500 0.500
Ir3 Ir 0.250 0.250 0.500
```

Largest 6 diffraction maxima, sorted by position, 5 to 70 degrees two-theta:
h k l	2θ (°)	d (Å)	intensity
1 1 0	12.23	7.238	65.8
0 0 1	13.23	6.694	45.2
2 2 -2	28.29	3.154	100.0
4 0 0	32.30	2.771	43.0
3 3 -2	36.32	2.474	25.0
2 2 2	43.47	2.082	62.4

# 3
Theoretical powder diffractogram of Pm6InRh2 for Cu Kα (weighted mean of Kα1 and Kα2), from a DFT-relaxed cell (PBE, Alexandria).

Crystal structure
```
data_Pm6InRh2
_symmetry_space_group_name_H-M 'I m m m'
_symmetry_Int_Tables_number 71
_symmetry_space_group_name_Hall '-I 2 2'
_cell_length_a 9.604
_cell_length_b 9.932
_cell_length_c 10.665
_cell_angle_alpha 90.00
_cell_angle_beta 90.00
_cell_angle_gamma 90.00
loop_
_atom_site_label
_atom_site_type_symbol
_atom_site_fract_x
_atom_site_fract_y
_atom_site_fract_z
Pm1 Pm 0.000 0.201 0.236
Pm2 Pm 0.192 0.500 0.171
Pm3 Pm 0.209 0.319 0.500
In1 In 0.000 0.000 0.000
In2 In 0.000 0.000 0.500
Rh1 Rh 0.000 0.333 0.000
Rh2 Rh 0.000 0.500 0.367
```

Largest 6 diffraction maxima, sorted by position, 5 to 70 degrees two-theta:
h k l	2θ (°)	d (Å)	intensity
2 2 2	30.86	2.898	100.0
2 1 3	32.61	2.746	62.4
1 3 2	33.19	2.699	88.3
2 3 1	33.94	2.641	61.5
3 2 1	34.37	2.609	37.0
5 3 2	58.16	1.586	39.7

# 4
Theoretical powder diffractogram of DyHo4Se6 for Cu Kα (weighted mean of Kα1 and Kα2), from a DFT-relaxed cell (PBE, Alexandria).

Crystal structure
```
data_DyHo4Se6
_symmetry_space_group_name_H-M 'C m c m'
_symmetry_Int_Tables_number 63
_symmetry_space_group_name_Hall '-C 2c 2'
_cell_length_a 3.971
_cell_length_b 13.325
_cell_length_c 20.668
_cell_angle_alpha 90.00
_cell_angle_beta 90.00
_cell_angle_gamma 90.00
loop_
_atom_site_label
_atom_site_type_symbol
_atom_site_fract_x
_atom_site_fract_y
_atom_site_fract_z
Dy1 Dy 0.000 0.152 0.250
Ho1 Ho 0.000 0.089 0.627
Ho2 Ho 0.000 0.359 0.538
Se1 Se 0.000 0.000 0.000
Se2 Se 0.000 0.190 0.750
Se3 Se 0.000 0.269 0.091
Se4 Se 0.000 0.447 0.666
```

Largest 6 diffraction maxima, sorted by position, 5 to 70 degrees two-theta:
h k l	2θ (°)	d (Å)	intensity
0 2 5	25.36	3.512	57.9
1 3 1	30.50	2.931	41.1
1 3 2	31.43	2.846	100.0
1 3 3	32.93	2.720	67.1
1 1 8	42.28	2.138	43.5
2 0 0	45.69	1.986	37.3

# 5
Theoretical powder diffractogram of PuVBr4 for Cu Kα (weighted mean of Kα1 and Kα2), from a DFT-relaxed cell (PBE, Alexandria).

Crystal structure
```
data_PuVBr4
_symmetry_space_group_name_H-M 'C 1 2/m 1'
_symmetry_Int_Tables_number 12
_cell_length_a 14.865
_cell_length_b 4.023
_cell_length_c 7.032
_cell_angle_alpha 90.00
_cell_angle_beta 109.69
_cell_angle_gamma 90.00
loop_
_symmetry_equiv_pos_as_xyz
'x,y,z'
'-x,-y,-z'
'-x,y,-z'
'x,-y,z'
'x+1/2,y+1/2,z'
'-x+1/2,-y+1/2,-z'
'-x+1/2,y+1/2,-z'
'x+1/2,-y+1/2,z'
loop_
_atom_site_label
_atom_site_type_symbol
_atom_site_fract_x
_atom_site_fract_y
_atom_site_fract_z
Pu1 Pu 0.000 0.000 0.000
V1 V 0.000 0.500 0.500
Br1 Br 0.108 0.000 0.438
Br2 Br 0.118 0.500 0.888
```

Largest 6 diffraction maxima, sorted by position, 5 to 70 degrees two-theta:
h k l	2θ (°)	d (Å)	intensity
2 0 0	12.65	6.998	100.0
0 0 2	26.93	3.311	28.7
3 1 -1	29.46	3.032	81.4
2 0 2	33.62	2.665	30.3
0 2 0	45.10	2.010	34.4
5 1 1	45.21	2.006	28.5

# 6
Theoretical powder diffractogram of TcHg for Cu Kα (weighted mean of Kα1 and Kα2), from a DFT-relaxed cell (PBE, Alexandria).

Crystal structure
```
data_TcHg
_symmetry_space_group_name_H-M 'C m c m'
_symmetry_Int_Tables_number 63
_symmetry_space_group_name_Hall '-C 2c 2'
_cell_length_a 2.977
_cell_length_b 17.094
_cell_length_c 2.967
_cell_angle_alpha 90.00
_cell_angle_beta 90.00
_cell_angle_gamma 90.00
loop_
_atom_site_label
_atom_site_type_symbol
_atom_site_fract_x
_atom_site_fract_y
_atom_site_fract_z
Tc1 Tc 0.000 0.208 0.250
Hg1 Hg 0.000 0.420 0.250
```

Largest 6 diffraction maxima, sorted by position, 5 to 70 degrees two-theta:
h k l	2θ (°)	d (Å)	intensity
1 1 0	30.48	2.933	50.9
0 6 0	31.40	2.849	41.7
0 4 1	36.88	2.437	100.0
1 5 0	40.16	2.245	72.9
1 1 1	43.38	2.086	65.5
1 9 1	66.34	1.409	35.8

# 7
Theoretical powder diffractogram of HfCrCuSe4 for Cu Kα (weighted mean of Kα1 and Kα2), from a DFT-relaxed cell (PBE, Alexandria).

Crystal structure
```
data_HfCrCuSe4
_symmetry_space_group_name_H-M 'I m m a'
_symmetry_Int_Tables_number 74
_symmetry_space_group_name_Hall '-I 2b 2'
_cell_length_a 7.545
_cell_length_b 7.642
_cell_length_c 10.675
_cell_angle_alpha 90.00
_cell_angle_beta 90.00
_cell_angle_gamma 90.00
loop_
_atom_site_label
_atom_site_type_symbol
_atom_site_fract_x
_atom_site_fract_y
_atom_site_fract_z
Hf1 Hf 0.250 0.250 0.250
Cr1 Cr 0.000 0.000 0.000
Cu1 Cu 0.000 0.250 0.621
Se1 Se 0.000 0.002 0.242
Se2 Se 0.230 0.250 0.000
```

Largest 6 diffraction maxima, sorted by position, 5 to 70 degrees two-theta:
h k l	2θ (°)	d (Å)	intensity
0 1 1	14.25	6.214	49.2
0 1 3	27.66	3.225	99.8
2 2 0	33.38	2.684	86.0
0 0 4	33.58	2.669	42.7
2 3 1	43.71	2.071	28.2
2 2 4	48.08	1.893	100.0

# 8
Theoretical powder diffractogram of Re5Sb for Cu Kα (weighted mean of Kα1 and Kα2), from a DFT-relaxed cell (PBE, Alexandria).

Crystal structure
```
data_Re5Sb
_symmetry_space_group_name_H-M 'C 1 m 1'
_symmetry_Int_Tables_number 8
_cell_length_a 10.347
_cell_length_b 2.910
_cell_length_c 6.645
_cell_angle_alpha 90.00
_cell_angle_beta 106.32
_cell_angle_gamma 90.00
loop_
_symmetry_equiv_pos_as_xyz
'x,y,z'
'x,-y,z'
'x+1/2,y+1/2,z'
'x+1/2,-y+1/2,z'
loop_
_atom_site_label
_atom_site_type_symbol
_atom_site_fract_x
_atom_site_fract_y
_atom_site_fract_z
Re1 Re 0.000 0.000 0.000
Re2 Re 0.046 0.000 0.633
Re3 Re 0.132 0.500 0.356
Re4 Re 0.209 0.500 0.938
Re5 Re 0.321 0.000 0.675
Sb1 Sb 0.356 0.000 0.276
```

Largest 6 diffraction maxima, sorted by position, 5 to 70 degrees two-theta:
h k l	2θ (°)	d (Å)	intensity
1 1 1	36.13	2.486	25.1
4 0 -2	39.23	2.296	33.8
1 1 -2	41.28	2.187	100.0
0 0 3	42.53	2.126	21.1
4 0 1	42.63	2.121	20.7
3 1 3	66.85	1.400	15.4